Mg3Co2H9: simulated PXRD pattern (Cu Kα (weighted mean of Kα1 and Kα2)), based on a PBE-relaxed structure.

Crystal structure
```
data_Mg3Co2H9
_cell_length_a 4.5238
_cell_length_b 4.5238
_cell_length_c 5.6534
_cell_angle_alpha 90.00
_cell_angle_beta 90.00
_cell_angle_gamma 120.00
_symmetry_space_group_name_H-M 'P -3 m 1'
_symmetry_Int_Tables_number 164
_symmetry_space_group_name_Hall '-P 3 2"'
loop_
_atom_site_label
_atom_site_type_symbol
_atom_site_fract_x
_atom_site_fract_y
_atom_site_fract_z
_atom_site_occupancy
Mg1 Mg 0.0000 0.0000 0.0000 1
Mg2 Mg 0.3333 0.6667 0.3453 1
Co1 Co 0.3333 0.6667 0.8180 1
H1 H 0.0000 0.5000 0.0000 1
H2 H 0.1627 0.3254 0.6730 1
```

Main lines, sorted by position (10° ≤ 2θ ≤ 90°):
15.7 deg, rel. 21
22.7 deg, rel. 42
27.7 deg, rel. 55
39.3 deg, rel. 100
39.9 deg, rel. 93
51.8 deg, rel. 12
57.2 deg, rel. 35
70.9 deg, rel. 16
72.0 deg, rel. 30
72.4 deg, rel. 14
84.5 deg, rel. 10
86.0 deg, rel. 10